Record 1
Diffraction record for Pm5Te4I. The powder diffractogram is theoretical, not measured: it uses DFT lattice parameters and positions (GGA-PBE) and Cu Kα (λ = 1.5418 Å).
Intensities are scaled so that the largest is 100.

Structural model:
```
Pm5Te4I
1.0
2.2158 1.2793 18.6952
-2.2158 1.2793 18.6952
0.0000 -2.5586 18.6952
Pm Te I
5 4 1
Direct
0.0000 0.0000 0.0000
0.2043 0.2043 0.2043
0.3999 0.3999 0.3999
0.6001 0.6001 0.6001
0.7957 0.7957 0.7957
0.0985 0.0985 0.0985
0.3002 0.3002 0.3002
0.6998 0.6998 0.6998
0.9015 0.9015 0.9015
0.5000 0.5000 0.5000
```

Top 10 peaks for 10 to 90 degrees two-theta, low angle first:
| 2θ/deg | d (Å) | I_rel |
| --- | --- | --- |
| 28.17 | 3.167 | 100 |
| 39.81 | 2.264 | 37 |
| 40.72 | 2.216 | 38 |
| 48.71 | 1.870 | 6 |
| 50.25 | 1.816 | 20 |
| 58.26 | 1.584 | 12 |
| 65.30 | 1.429 | 16 |
| 66.59 | 1.404 | 17 |
| 73.50 | 1.288 | 12 |
| 74.12 | 1.279 | 6 |


Record 2
Diffraction record for CsSr2Li2Br7. The powder diffractogram is theoretical, not measured: it uses DFT lattice parameters and positions (GGA-PBE) and Cu Kα (λ = 1.5418 Å).
Intensities are scaled so that the largest is 100.

Structural model:
```
CsSr2Li2Br7
1.0
-2.9974 11.7704 3.0261
2.9974 -11.7704 3.0261
2.9974 11.7704 -3.0261
Cs Sr Li Br
1 2 2 7
Direct
0.0000 0.0000 0.0000
0.3751 0.0029 0.3721
0.6308 0.0029 0.6279
0.2112 0.4617 0.7494
0.7123 0.4617 0.2506
0.1338 0.5039 0.6299
0.2727 0.0269 0.2458
0.3785 0.5093 0.8692
0.5071 0.0071 0.5000
0.6401 0.5093 0.1308
0.7811 0.0269 0.7542
0.8740 0.5039 0.3701
```

Top 10 peaks for 10 to 90 degrees two-theta, low angle first:
| 2θ/deg | d (Å) | I_rel |
| --- | --- | --- |
| 25.82 | 3.450 | 100 |
| 29.52 | 3.026 | 52 |
| 29.81 | 2.997 | 52 |
| 30.38 | 2.942 | 49 |
| 42.45 | 2.130 | 38 |
| 42.87 | 2.109 | 37 |
| 43.08 | 2.100 | 37 |
| 50.17 | 1.818 | 15 |
| 50.54 | 1.806 | 15 |
| 53.09 | 1.725 | 37 |


Record 3
Diffraction record for Pr2ThPt3. The powder diffractogram is theoretical, not measured: it uses DFT lattice parameters and positions (GGA-PBE) and Cu Kα (λ = 1.5418 Å).
Intensities are scaled so that the largest is 100.

Structural model:
```
Pr2ThPt3
1.0
6.6901 -2.9850 0.0000
6.6901 2.9850 0.0000
-2.6298 0.0000 7.9784
Pr Th Pt
4 2 6
Direct
0.1658 0.1676 0.0833
0.1676 0.1658 0.5833
0.8324 0.8342 0.4167
0.8342 0.8324 0.9167
0.4995 0.5005 0.7500
0.5005 0.4995 0.2500
0.0004 0.9996 0.2500
0.9996 0.0004 0.7500
0.3398 0.3415 0.4203
0.3415 0.3398 0.9203
0.6585 0.6602 0.0797
0.6602 0.6585 0.5797
```

Top 10 peaks for 10 to 90 degrees two-theta, low angle first:
| 2θ/deg | d (Å) | I_rel |
| --- | --- | --- |
| 29.95 | 2.983 | 100 |
| 42.69 | 2.118 | 13 |
| 42.86 | 2.110 | 51 |
| 43.07 | 2.100 | 13 |
| 53.01 | 1.727 | 13 |
| 53.34 | 1.718 | 14 |
| 62.24 | 1.492 | 13 |
| 70.58 | 1.334 | 23 |
| 78.29 | 1.221 | 8 |
| 78.81 | 1.214 | 9 |


Record 4
Diffraction record for Tb6Nd5Sm2. The powder diffractogram is theoretical, not measured: it uses DFT lattice parameters and positions (GGA-PBE) and Cu Kα (λ = 1.5418 Å).
Intensities are scaled so that the largest is 100.

Structural model:
```
Tb6Nd5Sm2
1.0
11.7790 0.0000 0.0000
0.0000 20.6864 0.0000
0.0000 0.0000 3.6259
Tb Nd Sm
12 10 4
Direct
0.0607 0.0793 0.0000
0.0793 0.3674 0.0000
0.1774 0.6343 0.5000
0.3226 0.1343 0.5000
0.4207 0.8674 0.0000
0.4393 0.5793 0.0000
0.5607 0.4207 0.0000
0.5793 0.1326 0.0000
0.6774 0.8657 0.5000
0.8226 0.3657 0.5000
0.9207 0.6326 0.0000
0.9393 0.9207 0.0000
0.0000 0.5000 0.5000
0.0846 0.2247 0.5000
0.1996 0.9491 0.5000
0.3004 0.4491 0.5000
0.4154 0.7247 0.5000
0.5000 0.0000 0.5000
0.5846 0.2753 0.5000
0.6996 0.5509 0.5000
0.8004 0.0509 0.5000
0.9154 0.7753 0.5000
0.1722 0.7868 0.0000
0.3278 0.2868 0.0000
0.6722 0.7132 0.0000
0.8278 0.2132 0.0000
```

Top 10 peaks for 10 to 90 degrees two-theta, low angle first:
| 2θ/deg | d (Å) | I_rel |
| --- | --- | --- |
| 30.67 | 2.915 | 67 |
| 31.07 | 2.879 | 53 |
| 31.20 | 2.866 | 67 |
| 31.75 | 2.818 | 100 |
| 33.81 | 2.651 | 40 |
| 34.63 | 2.590 | 25 |
| 36.15 | 2.485 | 34 |
| 50.33 | 1.813 | 24 |
| 60.10 | 1.540 | 20 |
| 60.42 | 1.532 | 21 |


Record 5
Diffraction record for PmGa5Ir2Ru. The powder diffractogram is theoretical, not measured: it uses DFT lattice parameters and positions (GGA-PBE) and Cu Kα (λ = 1.5418 Å).
Intensities are scaled so that the largest is 100.

Structural model:
```
PmGa5Ir2Ru
1.0
4.7993 0.0000 0.0000
0.0000 4.7993 0.0000
0.0000 0.0000 7.5774
Pm Ga Ir Ru
1 5 2 1
Direct
0.0000 0.0000 0.0000
0.0000 0.5000 0.3201
0.0000 0.5000 0.6799
0.5000 0.0000 0.3201
0.5000 0.0000 0.6799
0.5000 0.5000 0.0000
0.5000 0.5000 0.3040
0.5000 0.5000 0.6960
0.0000 0.0000 0.5000
```

Top 10 peaks for 10 to 90 degrees two-theta, low angle first:
| 2θ/deg | d (Å) | I_rel |
| --- | --- | --- |
| 18.49 | 4.799 | 23 |
| 26.26 | 3.394 | 42 |
| 30.05 | 2.974 | 80 |
| 35.53 | 2.526 | 42 |
| 37.48 | 2.400 | 100 |
| 40.35 | 2.235 | 20 |
| 48.76 | 1.867 | 43 |
| 52.61 | 1.740 | 40 |
| 54.04 | 1.697 | 35 |
| 66.37 | 1.409 | 23 |


Record 6
Diffraction record for Sm4HgAu3. The powder diffractogram is theoretical, not measured: it uses DFT lattice parameters and positions (GGA-PBE) and Cu Kα (λ = 1.5418 Å).
Intensities are scaled so that the largest is 100.

Structural model:
```
Sm4HgAu3
1.0
3.6922 0.0000 0.0000
0.0000 5.2498 0.0000
0.0000 0.0000 10.4821
Sm Hg Au
4 1 3
Direct
0.0000 0.0000 0.0000
0.0000 0.0000 0.5000
0.0000 0.5000 0.2418
0.0000 0.5000 0.7582
0.5000 0.5000 0.5000
0.5000 0.0000 0.2541
0.5000 0.0000 0.7459
0.5000 0.5000 0.0000
```

Top 10 peaks for 10 to 90 degrees two-theta, low angle first:
| 2θ/deg | d (Å) | I_rel |
| --- | --- | --- |
| 34.19 | 2.623 | 50 |
| 34.27 | 2.617 | 100 |
| 49.13 | 1.855 | 18 |
| 49.37 | 1.846 | 9 |
| 61.26 | 1.513 | 37 |
| 61.42 | 1.510 | 19 |
| 72.20 | 1.308 | 12 |
| 82.20 | 1.173 | 12 |
| 82.23 | 1.172 | 4 |
| 82.60 | 1.168 | 8 |


Record 7
Diffraction record for HfTaCo. The powder diffractogram is theoretical, not measured: it uses DFT lattice parameters and positions (GGA-PBE) and Cu Kα (λ = 1.5418 Å).
Intensities are scaled so that the largest is 100.

Structural model:
```
HfTaCo
1.0
0.0000 4.4609 8.9066
2.4996 0.0000 8.9066
2.4996 4.4609 0.0000
Hf Ta Co
4 4 4
Direct
0.0409 0.7091 0.0409
0.2909 0.9591 0.2909
0.7091 0.0409 0.7091
0.9591 0.2909 0.9591
0.2943 0.2943 0.4557
0.4557 0.4557 0.2943
0.5443 0.5443 0.7057
0.7057 0.7057 0.5443
0.0003 0.0003 0.2497
0.9997 0.9997 0.7503
0.2497 0.2497 0.0003
0.7503 0.7503 0.9997
```

Top 10 peaks for 10 to 90 degrees two-theta, low angle first:
| 2θ/deg | d (Å) | I_rel |
| --- | --- | --- |
| 32.45 | 2.759 | 56 |
| 35.48 | 2.530 | 100 |
| 36.35 | 2.472 | 79 |
| 37.37 | 2.407 | 77 |
| 38.34 | 2.348 | 51 |
| 41.07 | 2.198 | 71 |
| 45.48 | 1.994 | 32 |
| 46.36 | 1.958 | 59 |
| 64.17 | 1.451 | 44 |
| 74.21 | 1.278 | 24 |


Record 8
Diffraction record for PrTm2H8. The powder diffractogram is theoretical, not measured: it uses DFT lattice parameters and positions (GGA-PBE) and Cu Kα (λ = 1.5418 Å).
Intensities are scaled so that the largest is 100.

Structural model:
```
PrTm2H8
1.0
-1.8217 2.6236 5.4758
1.8217 -2.6236 5.4758
1.8217 2.6236 -5.4758
Pr Tm H
1 2 8
Direct
0.0000 0.0000 0.0000
0.3293 0.3293 0.0000
0.6707 0.6707 0.0000
0.1019 0.8320 0.2699
0.1576 0.6576 0.5000
0.2920 0.5000 0.7920
0.4379 0.1680 0.2699
0.5621 0.8320 0.7301
0.7080 0.5000 0.2080
0.8424 0.3424 0.5000
0.8981 0.1680 0.7301
```

Top 10 peaks for 10 to 90 degrees two-theta, low angle first:
| 2θ/deg | d (Å) | I_rel |
| --- | --- | --- |
| 29.83 | 2.995 | 100 |
| 34.17 | 2.624 | 18 |
| 34.79 | 2.579 | 33 |
| 49.56 | 1.839 | 26 |
| 50.07 | 1.822 | 6 |
| 58.53 | 1.577 | 15 |
| 59.34 | 1.557 | 29 |
| 61.93 | 1.498 | 6 |
| 62.02 | 1.496 | 6 |
| 80.52 | 1.193 | 12 |


Record 9
Diffraction record for Y2Ho3In3. The powder diffractogram is theoretical, not measured: it uses DFT lattice parameters and positions (GGA-PBE) and Cu Kα (λ = 1.5418 Å).
Intensities are scaled so that the largest is 100.

Structural model:
```
Y2Ho3In3
1.0
4.9070 0.0000 0.0000
0.0000 4.9145 0.0000
0.0000 0.0000 9.1078
Y Ho In
2 3 3
Direct
0.0000 0.0000 0.2364
0.0000 0.0000 0.7636
0.0000 0.5000 0.5000
0.5000 0.5000 0.2372
0.5000 0.5000 0.7628
0.0000 0.5000 0.0000
0.5000 0.0000 0.0000
0.5000 0.0000 0.5000
```

Top 10 peaks for 10 to 90 degrees two-theta, low angle first:
| 2θ/deg | d (Å) | I_rel |
| --- | --- | --- |
| 18.06 | 4.913 | 4 |
| 32.42 | 2.761 | 100 |
| 36.60 | 2.455 | 36 |
| 39.58 | 2.277 | 14 |
| 52.72 | 1.736 | 13 |
| 55.00 | 1.670 | 21 |
| 63.27 | 1.470 | 29 |
| 67.32 | 1.391 | 11 |
| 67.89 | 1.381 | 11 |
| 86.82 | 1.122 | 6 |


Record 10
Diffraction record for InSnOs. The powder diffractogram is theoretical, not measured: it uses DFT lattice parameters and positions (GGA-PBE) and Cu Kα (λ = 1.5418 Å).
Intensities are scaled so that the largest is 100.

Structural model:
```
InSnOs
1.0
7.1635 0.0000 0.0000
0.0000 5.7416 0.0000
-1.2315 0.0000 6.0882
In Sn Os
4 4 4
Direct
0.2500 0.2500 0.0000
0.2500 0.7500 0.0000
0.7500 0.2500 0.0000
0.7500 0.7500 0.0000
0.1702 0.0000 0.3969
0.3298 0.5000 0.6031
0.6702 0.5000 0.3969
0.8298 0.0000 0.6031
0.0413 0.5000 0.2619
0.4587 0.0000 0.7381
0.5413 0.0000 0.2619
0.9587 0.5000 0.7381
```

Top 10 peaks for 10 to 90 degrees two-theta, low angle first:
| 2θ/deg | d (Å) | I_rel |
| --- | --- | --- |
| 19.98 | 4.445 | 72 |
| 31.85 | 2.810 | 41 |
| 34.54 | 2.597 | 65 |
| 34.98 | 2.565 | 100 |
| 37.86 | 2.376 | 82 |
| 40.59 | 2.222 | 36 |
| 41.47 | 2.177 | 73 |
| 41.67 | 2.167 | 49 |
| 43.32 | 2.089 | 48 |
| 47.02 | 1.933 | 34 |


Record 11
Diffraction record for Cs2MnFeCl6. The powder diffractogram is theoretical, not measured: it uses DFT lattice parameters and positions (GGA-PBE) and Cu Kα (λ = 1.5418 Å).
Intensities are scaled so that the largest is 100.

Structural model:
```
Cs2MnFeCl6
1.0
-3.6121 3.6121 5.0633
3.6121 -3.6121 5.0633
3.6121 3.6121 -5.0633
Cs Mn Fe Cl
2 1 1 6
Direct
0.2500 0.7500 0.5000
0.7500 0.2500 0.5000
0.0000 0.0000 0.0000
0.5000 0.5000 0.0000
0.2468 0.2468 0.4937
0.2468 0.7532 0.0000
0.2610 0.2610 0.0000
0.7390 0.7390 0.0000
0.7532 0.2468 0.0000
0.7532 0.7532 0.5063
```

Top 10 peaks for 10 to 90 degrees two-theta, low angle first:
| 2θ/deg | d (Å) | I_rel |
| --- | --- | --- |
| 24.65 | 3.612 | 50 |
| 24.76 | 3.596 | 100 |
| 30.40 | 2.941 | 84 |
| 35.14 | 2.554 | 76 |
| 35.46 | 2.532 | 36 |
| 43.46 | 2.082 | 44 |
| 43.66 | 2.073 | 22 |
| 50.54 | 1.806 | 25 |
| 50.78 | 1.798 | 48 |
| 63.25 | 1.470 | 24 |


Record 12
Diffraction record for UCu2Pb2S6. The powder diffractogram is theoretical, not measured: it uses DFT lattice parameters and positions (GGA-PBE) and Cu Kα (λ = 1.5418 Å).
Intensities are scaled so that the largest is 100.

Structural model:
```
UCu2Pb2S6
1.0
6.7958 0.0000 0.0000
-3.3979 5.8853 0.0000
0.0000 0.0000 6.9581
U Cu Pb S
1 2 2 6
Direct
0.0000 0.0000 0.0000
0.3333 0.6667 0.8198
0.6667 0.3333 0.1802
0.3333 0.6667 0.3852
0.6667 0.3333 0.6148
0.0350 0.3201 0.7754
0.2851 0.9650 0.7754
0.3201 0.2851 0.2246
0.6799 0.7149 0.7754
0.7149 0.0350 0.2246
0.9650 0.6799 0.2246
```

Top 10 peaks for 10 to 90 degrees two-theta, low angle first:
| 2θ/deg | d (Å) | I_rel |
| --- | --- | --- |
| 19.76 | 4.494 | 100 |
| 26.23 | 3.398 | 87 |
| 29.83 | 2.995 | 70 |
| 33.05 | 2.710 | 32 |
| 40.13 | 2.247 | 33 |
| 41.86 | 2.158 | 16 |
| 42.67 | 2.119 | 30 |
| 46.28 | 1.962 | 36 |
| 48.58 | 1.874 | 39 |
| 62.89 | 1.478 | 17 |